Theoretical PXRD pattern
Compound: CaHg11
Radiation: Cu Kα (weighted mean of Kα1 and Kα2)
Structure: a crystal structure in Alexandria, relaxed with PBE

Crystal structure
```
data_CaHg11
_chemical_formula_sum 'Ca3 Hg33'
_cell_length_a 9.904
_cell_length_b 9.904
_cell_length_c 9.904
_cell_angle_alpha 90.00
_cell_angle_beta 90.00
_cell_angle_gamma 90.00
_symmetry_space_group_name_H-M 'P m -3 m'
_symmetry_Int_Tables_number 221
_symmetry_space_group_name_Hall '-P 4 2 3'
loop_
_atom_site_label
_atom_site_fract_x
_atom_site_fract_y
_atom_site_fract_z
_atom_site_occupancy
Ca1 0.000 0.000 0.500 1
Hg1 0.000 0.343 0.343 1
Hg2 0.153 0.153 0.153 1
Hg3 0.263 0.263 0.500 1
Hg4 0.500 0.500 0.500 1
```

The 8 most intense peaks (5° ≤ 2θ ≤ 70°), by angle:
| d_spacing | I/Imax | hkl |
| --- | --- | --- |
| 2.986 | 37 | 3 1 1 |
| 2.859 | 47 | 2 2 2 |
| 2.747 | 25 | 3 2 0 |
| 2.402 | 100 | 4 1 0 |
| 2.334 | 67 | 3 3 0 |
| 2.161 | 34 | 4 2 1 |
| 1.547 | 37 | 5 4 0 |
| 1.348 | 32 | 6 3 3 |